Structure and computed X-ray powder pattern of NiIr2F8 (a PBE+U-relaxed structure; a wavelength of 1.5418 Å).
Intensities are scaled so that the largest is 100.

Top 10 peaks for 15 to 90 degrees two-theta, most intense first:
24.22°, rel. 100.0, hkl 0 2 0; 15.42°, rel. 95.4, hkl 1 1 0; 25.32°, rel. 81.0, hkl 1 1 -1; 31.54°, rel. 65.5, hkl 3 1 0; 22.90°, rel. 64.0, hkl 0 0 1; 25.48°, rel. 45.8, hkl 2 0 -1; 44.17°, rel. 38.1, hkl 3 1 1; 45.27°, rel. 31.8, hkl 2 0 -2; 39.07°, rel. 30.4, hkl 4 0 0; 49.95°, rel. 27.5, hkl 5 1 -1

Cell and atoms:
```
data_NiIr2F8
_chemical_formula_sum 'Ni2 Ir4 F16'
_space_group_name_H-M_alt 'C 1 2/m 1'
_space_group_IT_number 12
_space_group_name_Hall '-C 2y'
_cell_length_a 9.614
_cell_length_b 7.349
_cell_length_c 4.048
_cell_angle_alpha 90.00
_cell_angle_beta 106.39
_cell_angle_gamma 90.00
loop_
_atom_site_label
_atom_site_type_symbol
_atom_site_fract_x
_atom_site_fract_y
_atom_site_fract_z
Ni1 Ni 0.000 0.000 0.000
Ir1 Ir 0.131 0.500 0.127
F1 F 0.135 0.000 0.698
F2 F 0.135 0.234 0.162
F3 F 0.144 0.500 0.634
```